Simulated powder diffraction line list of CeDy2Tm12 for Cu Kα (λ = 1.5418 Å), from a DFT-relaxed cell (GGA-PBE, Alexandria).

Atomic structure:
```
data_CeDy2Tm12
_symmetry_space_group_name_H-M 'P 1 2/m 1'
_symmetry_Int_Tables_number 10
_cell_length_a 3.5114
_cell_length_b 5.5312
_cell_length_c 23.8130
_cell_angle_alpha 90.00
_cell_angle_beta 93.98
_cell_angle_gamma 90.00
loop_
_symmetry_equiv_pos_as_xyz
'x,y,z'
'-x,-y,-z'
'-x,y,-z'
'x,-y,z'
loop_
_atom_site_label
_atom_site_type_symbol
_atom_site_fract_x
_atom_site_fract_y
_atom_site_fract_z
Ce1 Ce 0.0000 0.0000 0.0000
Dy1 Dy 0.3542 0.0000 0.7186
Tm1 Tm 0.0917 0.5000 0.1929
Tm2 Tm 0.1706 0.5000 0.3299
Tm3 Tm 0.2148 0.0000 0.4227
Tm4 Tm 0.2752 0.5000 0.5552
Tm5 Tm 0.4358 0.0000 0.8634
Tm6 Tm 0.4684 0.5000 0.9328
```

Main lines, in order of rising 2θ (2θ from 10° to 90°):
| h k l | two_theta | Rel. int. |
| --- | --- | --- |
| 1 1 -2 | 30.68 | 25.8 |
| 0 1 7 | 30.91 | 67.1 |
| 1 1 -3 | 31.62 | 100.0 |
| 0 2 0 | 32.37 | 81.1 |
| 1 0 -6 | 32.96 | 32.9 |
| 0 1 8 | 34.28 | 41.4 |